(1)
Calculated PXRD pattern of Li5Mn4Si6O20 for CuKα, from the PBE+U geometry in the Materials Project.
No peak broadening, texture or thermal motion is included.

Principal peaks in the range 10 to 80 degrees two-theta, most intense first:
| 2θ (°) | Rel. int. | h k l |
| --- | --- | --- |
| 19.0 | 100 | 1 1 0 |
| 32.9 | 49 | 1 2 1 |
| 10.9 | 45 | 0 0 2 |
| 33.0 | 37 | 0 0 6 |
| 22.1 | 36 | 0 1 -2 |
| 28.0 | 25 | 0 1 4 |

Atomic structure:
a = 5.4490 Å, b = 5.4612 Å, c = 16.3598 Å
α = 84.69°, β = 84.66°, γ = 61.24°
Space group P1 (No. 1)
Asymmetric unit:
Li: 0.0000 0.0000 0.0000 (multiplicity 1)
Li: 0.0734 0.0447 0.6720 (multiplicity 1)
Li: 0.2552 0.6453 0.2080 (multiplicity 1)
Li: 0.3337 0.6801 0.8870 (multiplicity 1)
Li: 0.5209 0.4819 0.3944 (multiplicity 1)
Mn: 0.4647 0.8608 0.5266 (multiplicity 1)
Mn: 0.6601 0.0408 0.8618 (multiplicity 1)
Mn: 0.6737 0.6346 0.0270 (multiplicity 1)
Mn: 0.8649 0.8289 0.3645 (multiplicity 1)
Si: 0.1420 0.5192 0.5403 (multiplicity 1)
Si: 0.1841 0.1731 0.3483 (multiplicity 1)
Si: 0.3380 0.3085 0.0413 (multiplicity 1)
Si: 0.5494 0.9625 0.1955 (multiplicity 1)
Si: 0.7837 0.7201 0.6926 (multiplicity 1)
Si: 0.9987 0.3697 0.8450 (multiplicity 1)
O: 0.0234 0.0665 0.8780 (multiplicity 1)
O: 0.0454 0.2965 0.0401 (multiplicity 1)
O: 0.0463 0.6803 0.6276 (multiplicity 1)
O: 0.1579 0.2115 0.5545 (multiplicity 1)
O: 0.2006 0.4700 0.3400 (multiplicity 1)
O: 0.2773 0.0231 0.2591 (multiplicity 1)
O: 0.2932 0.3779 0.8480 (multiplicity 1)
O: 0.3083 0.6142 0.0094 (multiplicity 1)
O: 0.4277 0.5232 0.5070 (multiplicity 1)
O: 0.4453 0.9444 0.4057 (multiplicity 1)
O: 0.4500 0.2582 0.1369 (multiplicity 1)
O: 0.5120 0.7859 0.6427 (multiplicity 1)
O: 0.5763 0.7158 0.1411 (multiplicity 1)
O: 0.5994 0.0501 0.9888 (multiplicity 1)
O: 0.7384 0.6305 0.8971 (multiplicity 1)
O: 0.7523 0.9635 0.7493 (multiplicity 1)
O: 0.8226 0.8844 0.2466 (multiplicity 1)
O: 0.8761 0.7193 0.4808 (multiplicity 1)
O: 0.8852 0.1869 0.3752 (multiplicity 1)
O: 0.8943 0.4184 0.7488 (multiplicity 1)

(2)
Calculated PXRD pattern of PrCoO3 for CuKα, from the PBE+U geometry in the Materials Project.
No peak broadening, texture or thermal motion is included.

Principal peaks in the range 10 to 80 degrees two-theta, most intense first:
| 2θ (°) | Rel. int. | h k l |
| --- | --- | --- |
| 32.7 | 100 | 1 2 1 |
| 58.3 | 25 | 1 2 3 |
| 46.7 | 21 | 2 0 2 |
| 32.4 | 18 | 2 0 0 |
| 68.5 | 14 | 0 0 4 |
| 47.1 | 12 | 0 4 0 |

Atomic structure:
a = 5.5226 Å, b = 7.7214 Å, c = 5.4851 Å
α = 90.00°, β = 90.00°, γ = 90.00°
Space group Pnma (No. 62)
Asymmetric unit:
Pr: 0.0425 0.2500 0.0102 (multiplicity 4)
Co: 0.0000 0.0000 0.5000 (multiplicity 4)
O: 0.0115 0.7500 0.4242 (multiplicity 4)
O: 0.2174 0.5406 0.7818 (multiplicity 8)

(3)
Calculated PXRD pattern of VH10SO10 for CuKα, from the PBE+U geometry in the Materials Project.
No peak broadening, texture or thermal motion is included.

Principal peaks in the range 10 to 80 degrees two-theta, most intense first:
| 2θ (°) | Rel. int. | h k l |
| --- | --- | --- |
| 16.8 | 100 | 1 0 1 |
| 16.0 | 62 | 0 2 0 |
| 23.3 | 38 | 1 2 1 |
| 20.1 | 27 | 1 2 0 |
| 25.5 | 27 | 2 1 0 |
| 14.2 | 21 | 0 1 1 |

Atomic structure:
a = 7.3722 Å, b = 11.0710 Å, c = 7.5704 Å
α = 90.00°, β = 90.00°, γ = 90.00°
Space group Pmn2_1 (No. 31)
Asymmetric unit:
V: 0.0000 0.2267 0.0000 (multiplicity 2)
H: 0.0508 0.5767 0.4461 (multiplicity 4)
H: 0.1065 0.6926 0.7096 (multiplicity 4)
H: 0.1440 0.1422 0.3742 (multiplicity 4)
H: 0.2311 0.0157 0.4334 (multiplicity 4)
H: 0.2367 0.1507 0.6599 (multiplicity 4)
S: 0.0000 0.6950 0.0557 (multiplicity 2)
O: 0.0000 0.2143 0.2241 (multiplicity 2)
O: 0.0000 0.3670 0.9353 (multiplicity 2)
O: 0.0000 0.5724 0.1205 (multiplicity 2)
O: 0.0000 0.6591 0.7701 (multiplicity 2)
O: 0.2148 0.1492 0.9226 (multiplicity 4)
O: 0.2295 0.1032 0.4579 (multiplicity 4)
O: 0.2296 0.7910 0.2584 (multiplicity 4)